Entry 1:
This entry pairs a crystal structure of MgAgF5 with its theoretical powder diffractogram. Radiation: copper Kα. Structure: a DFT-relaxed cell (GGA-PBE, Alexandria).
Lines closer than 0.1° are merged.

The 10 most intense peaks (10° ≤ 2θ ≤ 90°), sorted by position:
d_spacing	I/Imax
4.784	37
4.412	62
3.709	100
3.549	42
3.447	74
2.986	27
2.407	22
2.066	21
1.961	29
1.728	22

Structural model:
Cell: 5.2823 9.5673 8.5495 Å, 90.00 109.72 90.00°
Fractional positions:
Mg (0.0122, 0.0098, 0.2061)
Mg (0.0122, 0.4902, 0.7061)
Mg (0.9878, 0.5098, 0.2939)
Mg (0.9878, 0.9902, 0.7939)
Ag (0.3921, 0.2400, 0.6332)
Ag (0.3921, 0.2600, 0.1332)
Ag (0.6079, 0.7400, 0.8668)
Ag (0.6079, 0.7600, 0.3668)
F (0.1013, 0.1093, 0.6392)
F (0.1013, 0.3907, 0.1392)
F (0.1250, 0.1090, 0.0135)
F (0.1250, 0.3910, 0.5135)
F (0.2492, 0.1433, 0.3497)
F (0.2492, 0.3567, 0.8497)
F (0.3194, 0.6313, 0.3738)
F (0.3194, 0.8687, 0.8738)
F (0.3425, 0.6080, 0.7278)
F (0.3425, 0.8920, 0.2278)
F (0.6575, 0.1080, 0.7722)
F (0.6575, 0.3920, 0.2722)
F (0.6806, 0.1313, 0.1262)
F (0.6806, 0.3687, 0.6262)
F (0.7508, 0.6433, 0.1503)
F (0.7508, 0.8567, 0.6503)
F (0.8750, 0.6090, 0.4865)
F (0.8750, 0.8910, 0.9865)
F (0.8987, 0.6093, 0.8608)
F (0.8987, 0.8907, 0.3608)



Entry 2:
This entry pairs a crystal structure of CdP2O6 with its theoretical powder diffractogram. Radiation: copper Kα. Structure: a DFT-relaxed cell (GGA-PBE, Alexandria).
Lines closer than 0.1° are merged.

The 10 most intense peaks (10° ≤ 2θ ≤ 90°), sorted by position:
d_spacing	I/Imax
5.670	65
4.311	51
3.763	37
3.741	29
3.404	100
3.143	25
2.685	40
2.672	33
2.559	57
1.885	26

Structural model:
Cell: 7.5268 7.6344 8.6214 Å, 90.00 90.00 90.00°
Fractional positions:
Cd (0.0198, 0.1422, 0.2120)
Cd (0.4802, 0.8578, 0.7120)
Cd (0.5198, 0.3578, 0.7880)
Cd (0.9802, 0.6422, 0.2880)
P (0.1198, 0.5584, 0.6592)
P (0.1535, 0.1645, 0.5997)
P (0.3465, 0.8355, 0.0997)
P (0.3802, 0.4416, 0.1592)
P (0.6198, 0.9416, 0.3408)
P (0.6535, 0.3355, 0.4003)
P (0.8465, 0.6645, 0.9003)
P (0.8802, 0.0584, 0.8408)
O (0.0080, 0.5630, 0.8182)
O (0.0420, 0.6777, 0.5389)
O (0.0832, 0.3621, 0.6046)
O (0.1598, 0.1051, 0.4354)
O (0.1771, 0.8552, 0.1923)
O (0.1867, 0.4194, 0.2029)
O (0.3133, 0.5806, 0.7029)
O (0.3229, 0.1448, 0.6923)
O (0.3402, 0.8949, 0.9354)
O (0.4168, 0.6379, 0.1046)
O (0.4580, 0.3223, 0.0389)
O (0.4920, 0.4370, 0.3182)
O (0.5080, 0.9370, 0.1818)
O (0.5420, 0.8223, 0.4611)
O (0.5832, 0.1379, 0.3954)
O (0.6598, 0.3949, 0.5646)
O (0.6771, 0.6448, 0.8077)
O (0.6867, 0.0806, 0.7971)
O (0.8133, 0.9194, 0.2971)
O (0.8229, 0.3552, 0.3077)
O (0.8402, 0.6051, 0.0646)
O (0.9168, 0.8621, 0.8954)
O (0.9580, 0.1777, 0.9611)
O (0.9920, 0.0630, 0.6818)



Entry 3:
This entry pairs a crystal structure of HfMn4W with its theoretical powder diffractogram. Radiation: copper Kα. Structure: a DFT-relaxed cell (GGA-PBE, Alexandria).
Lines closer than 0.1° are merged.

The 10 most intense peaks (10° ≤ 2θ ≤ 90°), sorted by position:
d_spacing	I/Imax
3.953	27
2.421	77
2.065	100
1.977	11
1.712	2
1.571	7
1.398	28
1.318	30
1.211	21
1.157	6

Structural model:
Cell: 4.8420 4.8420 4.8420 Å, 60.00 60.00 60.00°
Fractional positions:
Hf (0.0000, 0.0000, 0.0000)
Mn (0.1253, 0.6249, 0.6249)
Mn (0.6249, 0.1253, 0.6249)
Mn (0.6249, 0.6249, 0.1253)
Mn (0.6249, 0.6249, 0.6249)
W (0.2500, 0.2500, 0.2500)



Entry 4:
This entry pairs a crystal structure of Cs13Nb2In6As10 with its theoretical powder diffractogram. Radiation: copper Kα. Structure: a DFT-relaxed cell (GGA-PBE, Alexandria).
Lines closer than 0.1° are merged.

The 10 most intense peaks (10° ≤ 2θ ≤ 90°), sorted by position:
d_spacing	I/Imax
4.372	49
3.496	30
3.478	41
3.135	100
3.126	92
3.047	49
3.017	42
3.005	56
2.941	25
2.786	35

Structural model:
Cell: 9.8151 9.8942 14.1720 Å, 80.95 84.13 65.73°
Fractional positions:
Cs (0.0000, 0.0000, 0.0000)
Cs (0.0895, 0.3469, 0.8832)
Cs (0.1801, 0.2416, 0.5934)
Cs (0.2769, 0.5817, 0.4276)
Cs (0.3539, 0.3967, 0.1632)
Cs (0.3631, 0.0059, 0.3579)
Cs (0.4179, 0.8180, 0.0896)
Cs (0.5821, 0.1820, 0.9104)
Cs (0.6369, 0.9941, 0.6421)
Cs (0.6461, 0.6033, 0.8368)
Cs (0.7231, 0.4183, 0.5724)
Cs (0.8199, 0.7584, 0.4066)
Cs (0.9105, 0.6531, 0.1168)
Nb (0.2419, 0.8727, 0.7746)
Nb (0.7581, 0.1273, 0.2254)
In (0.0551, 0.8792, 0.5879)
In (0.0570, 0.2304, 0.1727)
In (0.3036, 0.5291, 0.7081)
In (0.6964, 0.4709, 0.2919)
In (0.9430, 0.7696, 0.8273)
In (0.9449, 0.1208, 0.4121)
As (0.0140, 0.3755, 0.3433)
As (0.0331, 0.9559, 0.2552)
As (0.2461, 0.6454, 0.8893)
As (0.3659, 0.7821, 0.6163)
As (0.3703, 0.9962, 0.8409)
As (0.6297, 0.0038, 0.1591)
As (0.6341, 0.2179, 0.3837)
As (0.7539, 0.3546, 0.1107)
As (0.9669, 0.0441, 0.7448)
As (0.9860, 0.6245, 0.6567)



Entry 5:
This entry pairs a crystal structure of Mg2TlCl with its theoretical powder diffractogram. Radiation: copper Kα. Structure: a DFT-relaxed cell (GGA-PBE, Alexandria).
Lines closer than 0.1° are merged.

The 10 most intense peaks (10° ≤ 2θ ≤ 90°), sorted by position:
d_spacing	I/Imax
5.717	100
5.245	76
3.902	66
3.829	57
3.170	57
2.858	59
2.720	60
2.707	81
2.493	51
2.264	46

Structural model:
Cell: 11.4358 3.2999 5.2460 Å, 90.00 91.09 90.00°
Fractional positions:
Mg (0.0000, 0.0000, 0.0000)
Mg (0.2403, 0.5000, 0.3812)
Mg (0.5000, 0.5000, 0.0000)
Mg (0.7403, 0.0000, 0.3812)
Tl (0.2650, 0.0000, 0.8737)
Tl (0.7650, 0.5000, 0.8737)
Cl (0.0212, 0.5000, 0.3716)
Cl (0.5212, 0.0000, 0.3716)



Entry 6:
This entry pairs a crystal structure of DyGaCo4 with its theoretical powder diffractogram. Radiation: copper Kα. Structure: a DFT-relaxed cell (GGA-PBE, Alexandria).
Lines closer than 0.1° are merged.

The 10 most intense peaks (10° ≤ 2θ ≤ 90°), sorted by position:
d_spacing	I/Imax
2.921	69
2.507	27
2.443	17
2.191	28
2.134	31
2.125	100
2.086	43
2.003	39
1.460	20
1.340	21

Structural model:
Cell: 4.8852 8.7632 4.0065 Å, 90.00 90.00 90.00°
Fractional positions:
Dy (0.0000, 0.0000, 0.0000)
Dy (0.5000, 0.5000, 0.0000)
Ga (0.0000, 0.5000, 0.5000)
Ga (0.5000, 0.0000, 0.5000)
Co (0.0000, 0.3138, 0.0000)
Co (0.0000, 0.6862, 0.0000)
Co (0.2500, 0.2500, 0.5000)
Co (0.2500, 0.7500, 0.5000)
Co (0.5000, 0.1862, 0.0000)
Co (0.5000, 0.8138, 0.0000)
Co (0.7500, 0.2500, 0.5000)
Co (0.7500, 0.7500, 0.5000)



Entry 7:
This entry pairs a crystal structure of ZnIr2S with its theoretical powder diffractogram. Radiation: copper Kα. Structure: a DFT-relaxed cell (GGA-PBE, Alexandria).
Lines closer than 0.1° are merged.

The 8 most intense peaks (10° ≤ 2θ ≤ 90°), sorted by position:
d_spacing	I/Imax
3.520	2
3.048	41
2.155	100
1.838	1
1.760	12
1.524	17
1.363	16
1.244	34

Structural model:
Cell: 6.0963 6.0963 6.0963 Å, 90.00 90.00 90.00°
Fractional positions:
Zn (0.0000, 0.0000, 0.0000)
Zn (0.0000, 0.5000, 0.5000)
Zn (0.5000, 0.0000, 0.5000)
Zn (0.5000, 0.5000, 0.0000)
Ir (0.2500, 0.2500, 0.2500)
Ir (0.2500, 0.2500, 0.7500)
Ir (0.2500, 0.7500, 0.2500)
Ir (0.2500, 0.7500, 0.7500)
Ir (0.7500, 0.2500, 0.2500)
Ir (0.7500, 0.2500, 0.7500)
Ir (0.7500, 0.7500, 0.2500)
Ir (0.7500, 0.7500, 0.7500)
S (0.0000, 0.0000, 0.5000)
S (0.0000, 0.5000, 0.0000)
S (0.5000, 0.0000, 0.0000)
S (0.5000, 0.5000, 0.5000)



Entry 8:
This entry pairs a crystal structure of YZrCo6 with its theoretical powder diffractogram. Radiation: copper Kα. Structure: a DFT-relaxed cell (GGA-PBE, Alexandria).
Lines closer than 0.1° are merged.

The 10 most intense peaks (10° ≤ 2θ ≤ 90°), sorted by position:
d_spacing	I/Imax
2.680	31
2.466	35
2.424	38
2.091	36
2.082	100
2.032	18
1.960	16
1.928	26
1.323	21
1.212	23

Structural model:
Cell: 16.4931 16.4931 16.4931 Å, 16.90 16.90 16.90°
Fractional positions:
Y (0.0000, 0.0000, 0.0000)
Y (0.1394, 0.1394, 0.1394)
Y (0.5012, 0.5012, 0.5012)
Zr (0.0697, 0.0697, 0.0697)
Zr (0.5709, 0.5709, 0.5709)
Zr (0.6381, 0.6381, 0.6381)
Co (0.0302, 0.0302, 0.5341)
Co (0.0303, 0.5292, 0.5292)
Co (0.0302, 0.5341, 0.0302)
Co (0.1073, 0.6104, 0.6104)
Co (0.1115, 0.1115, 0.6102)
Co (0.1115, 0.6102, 0.1115)
Co (0.2377, 0.2377, 0.2377)
Co (0.3197, 0.3197, 0.3197)
Co (0.4026, 0.4026, 0.4026)
Co (0.5292, 0.0303, 0.5292)
Co (0.5292, 0.5292, 0.0303)
Co (0.5341, 0.0302, 0.0302)
Co (0.6104, 0.1073, 0.6104)
Co (0.6102, 0.1115, 0.1115)
Co (0.6104, 0.6104, 0.1073)
Co (0.7359, 0.7359, 0.7359)
Co (0.8205, 0.8205, 0.8205)
Co (0.9045, 0.9045, 0.9045)



Q: Number 5 is which compound?
A: Mg2TlCl